(1)
This entry pairs a crystal structure of CdAgGeO4 with its simulated X-ray powder pattern. Radiation: copper Kα. Structure: a crystal structure in Alexandria, relaxed with GGA-PBE.
Lines closer than 0.1° are merged.

Peak list (8 most intense, 2θ = 5–70°, in order of falling intensity)
31.39°, d = 2.850 Å, intensity 100, hkl 1 1 2
32.54°, d = 2.751 Å, intensity 78, hkl 1 3 0
29.85°, d = 2.993 Å, intensity 66, hkl 2 0 0
44.53°, d = 2.035 Å, intensity 46, hkl 2 2 2
32.27°, d = 2.774 Å, intensity 28, hkl 0 2 2
62.00°, d = 1.497 Å, intensity 24, hkl 4 0 0
63.56°, d = 1.464 Å, intensity 21, hkl 1 3 4
35.10°, d = 2.557 Å, intensity 21, hkl 1 3 1

Crystal structure
a = 5.9860 Å, b = 9.2945 Å, c = 6.9149 Å
α = 90.00°, β = 90.00°, γ = 90.00°
Space group Cmcm (No. 63)
Unique sites:
Cd 0.0000 0.0000 0.0000 (multiplicity 4)
Ag 0.0000 0.2966 0.2500 (multiplicity 4)
Ge 0.0000 0.3653 0.7500 (multiplicity 4)
O 0.0000 0.2502 0.5465 (multiplicity 8)
O 0.2389 0.4816 0.7500 (multiplicity 8)

***

(2)
This entry pairs a crystal structure of Cd2AgGe2Pd5 with its simulated X-ray powder pattern. Radiation: copper Kα. Structure: a crystal structure in Alexandria, relaxed with GGA-PBE.
Lines closer than 0.1° are merged.

Peak list (8 most intense, 2θ = 5–70°, in order of falling intensity)
38.28°, d = 2.351 Å, intensity 100, hkl 3 1 1
38.10°, d = 2.362 Å, intensity 37, hkl 4 1 0
41.64°, d = 2.169 Å, intensity 32, hkl 3 2 1
50.12°, d = 1.820 Å, intensity 20, hkl 0 0 2
41.47°, d = 2.178 Å, intensity 20, hkl 4 2 0
35.90°, d = 2.501 Å, intensity 17, hkl 2 2 1
32.04°, d = 2.793 Å, intensity 17, hkl 2 1 1
64.65°, d = 1.442 Å, intensity 15, hkl 4 1 2

Crystal structure
a = 9.7385 Å, b = 9.7385 Å, c = 3.6402 Å
α = 90.00°, β = 90.00°, γ = 90.00°
Space group P4/mbm (No. 127)
Unique sites:
Cd 0.1718 0.3282 0.0000 (multiplicity 4)
Ag 0.0000 0.0000 0.0000 (multiplicity 2)
Ge 0.1290 0.6290 0.0000 (multiplicity 4)
Pd 0.0000 0.5000 0.5000 (multiplicity 2)
Pd 0.0751 0.7956 0.5000 (multiplicity 8)

***

(3)
This entry pairs a crystal structure of Hf4CdAg with its simulated X-ray powder pattern. Radiation: copper Kα. Structure: a crystal structure in Alexandria, relaxed with GGA-PBE.
Lines closer than 0.1° are merged.

Peak list (8 most intense, 2θ = 5–70°, in order of falling intensity)
35.32°, d = 2.541 Å, intensity 100, hkl 1 0 3
40.13°, d = 2.247 Å, intensity 37, hkl 1 1 0
69.82°, d = 1.347 Å, intensity 28, hkl 2 1 3
60.07°, d = 1.540 Å, intensity 20, hkl 1 1 6
42.74°, d = 2.116 Å, intensity 15, hkl 0 0 6
58.05°, d = 1.589 Å, intensity 12, hkl 2 0 0
13.95°, d = 6.346 Å, intensity 4, hkl 0 0 2
28.97°, d = 3.083 Å, intensity 3, hkl 1 0 1

Crystal structure
a = 3.1777 Å, b = 3.1777 Å, c = 12.6928 Å
α = 90.00°, β = 90.00°, γ = 90.00°
Space group P4/mmm (No. 123)
Unique sites:
Hf 0.0000 0.0000 0.1591 (multiplicity 2)
Hf 0.5000 0.5000 0.3231 (multiplicity 2)
Cd 0.0000 0.0000 0.5000 (multiplicity 1)
Ag 0.5000 0.5000 0.0000 (multiplicity 1)

***

(4)
This entry pairs a crystal structure of Cd5Ag2Hg5 with its simulated X-ray powder pattern. Radiation: copper Kα. Structure: a crystal structure in Alexandria, relaxed with GGA-PBE.
Lines closer than 0.1° are merged.

Peak list (8 most intense, 2θ = 5–70°, in order of falling intensity)
37.42°, d = 2.403 Å, intensity 100, hkl 5 1 -1
38.39°, d = 2.345 Å, intensity 96, hkl 3 1 -3
32.90°, d = 2.722 Å, intensity 75, hkl 0 2 0
32.03°, d = 2.794 Å, intensity 71, hkl 2 0 2
46.58°, d = 1.950 Å, intensity 50, hkl 2 2 2
62.05°, d = 1.496 Å, intensity 30, hkl 8 0 -4
61.74°, d = 1.502 Å, intensity 23, hkl 5 3 -1
62.42°, d = 1.488 Å, intensity 23, hkl 3 3 -3

Crystal structure
a = 13.3994 Å, b = 5.4444 Å, c = 8.0407 Å
α = 90.00°, β = 111.33°, γ = 90.00°
Space group C2/m (No. 12)
Unique sites:
Cd 0.0000 0.0000 0.0000 (multiplicity 2)
Cd 0.0781 0.0000 0.4074 (multiplicity 4)
Cd 0.2413 0.0000 0.2202 (multiplicity 4)
Ag 0.1546 0.0000 0.8176 (multiplicity 4)
Hg 0.0000 0.5000 0.5000 (multiplicity 2)
Hg 0.0916 0.5000 0.9314 (multiplicity 4)
Hg 0.1835 0.5000 0.3545 (multiplicity 4)

***

(5)
This entry pairs a crystal structure of Cd2Ag5Hg2 with its simulated X-ray powder pattern. Radiation: copper Kα. Structure: a crystal structure in Alexandria, relaxed with GGA-PBE.
Lines closer than 0.1° are merged.

Peak list (8 most intense, 2θ = 5–70°, in order of falling intensity)
37.80°, d = 2.380 Å, intensity 100, hkl 2 4 -1
36.06°, d = 2.490 Å, intensity 45, hkl 0 0 2
39.71°, d = 2.270 Å, intensity 43, hkl 3 3 1
39.86°, d = 2.262 Å, intensity 27, hkl 4 0 -2
36.62°, d = 2.454 Å, intensity 26, hkl 5 1 0
41.38°, d = 2.182 Å, intensity 26, hkl 2 4 1
63.48°, d = 1.466 Å, intensity 21, hkl 2 4 -3
34.02°, d = 2.636 Å, intensity 20, hkl 3 3 -1

Crystal structure
a = 13.0308 Å, b = 11.1934 Å, c = 5.1610 Å
α = 90.00°, β = 105.18°, γ = 90.00°
Space group Cc (No. 9)
Unique sites:
Cd 0.0000 0.1943 0.0000 (multiplicity 4)
Cd 0.2947 0.3002 0.0226 (multiplicity 4)
Ag 0.1126 0.4328 0.1055 (multiplicity 4)
Ag 0.1927 0.0623 0.9471 (multiplicity 4)
Ag 0.3043 0.4387 0.5429 (multiplicity 4)
Ag 0.3860 0.0675 0.3792 (multiplicity 4)
Ag 0.4975 0.4328 0.9989 (multiplicity 4)
Hg 0.2068 0.2011 0.4757 (multiplicity 4)
Hg 0.4988 0.1609 0.9959 (multiplicity 4)

***

(6)
This entry pairs a crystal structure of Cd7AgHg3 with its simulated X-ray powder pattern. Radiation: copper Kα. Structure: a crystal structure in Alexandria, relaxed with GGA-PBE.
Lines closer than 0.1° are merged.

Peak list (8 most intense, 2θ = 5–70°, in order of falling intensity)
33.48°, d = 2.676 Å, intensity 100, hkl 1 3 2
37.66°, d = 2.388 Å, intensity 88, hkl 0 4 6
34.49°, d = 2.600 Å, intensity 72, hkl 0 8 0
37.77°, d = 2.382 Å, intensity 58, hkl 1 5 2
36.71°, d = 2.448 Å, intensity 45, hkl 1 1 4
45.43°, d = 1.996 Å, intensity 33, hkl 1 7 3
20.32°, d = 4.371 Å, intensity 26, hkl 0 4 2
66.70°, d = 1.402 Å, intensity 22, hkl 1 3 10

Crystal structure
a = 3.1143 Å, b = 20.8035 Å, c = 16.1329 Å
α = 90.00°, β = 90.00°, γ = 90.00°
Space group Cmcm (No. 63)
Unique sites:
Cd 0.0000 0.0167 0.0954 (multiplicity 8)
Cd 0.0000 0.1131 0.2500 (multiplicity 4)
Cd 0.0000 0.1199 0.6590 (multiplicity 8)
Cd 0.0000 0.2550 0.5854 (multiplicity 8)
Ag 0.0000 0.4864 0.2500 (multiplicity 4)
Hg 0.0000 0.2549 0.2500 (multiplicity 4)
Hg 0.0000 0.3804 0.5066 (multiplicity 8)

***

(7)
This entry pairs a crystal structure of Cd8AgHg3 with its simulated X-ray powder pattern. Radiation: copper Kα. Structure: a crystal structure in Alexandria, relaxed with GGA-PBE.
Lines closer than 0.1° are merged.

Peak list (8 most intense, 2θ = 5–70°, in order of falling intensity)
37.79°, d = 2.380 Å, intensity 100, hkl 2 2 1
30.22°, d = 2.958 Å, intensity 39, hkl 2 2 -2
26.58°, d = 3.353 Å, intensity 32, hkl 2 2 -1
38.08°, d = 2.363 Å, intensity 32, hkl 0 4 0
38.81°, d = 2.320 Å, intensity 32, hkl 2 2 -3
41.12°, d = 2.195 Å, intensity 26, hkl 3 3 -2
36.97°, d = 2.432 Å, intensity 24, hkl 1 1 -3
23.16°, d = 3.840 Å, intensity 17, hkl 0 2 1

Crystal structure
a = 9.5236 Å, b = 9.4517 Å, c = 7.9907 Å
α = 90.00°, β = 124.46°, γ = 90.00°
Space group Cm (No. 8)
Unique sites:
Cd 0.0000 0.0000 0.0000 (multiplicity 2)
Cd 0.0376 0.5000 0.1327 (multiplicity 2)
Cd 0.1231 0.2190 0.3675 (multiplicity 4)
Cd 0.1291 0.5000 0.8355 (multiplicity 2)
Cd 0.3710 0.0000 0.3836 (multiplicity 2)
Cd 0.4910 0.3003 0.6385 (multiplicity 4)
Ag 0.2364 0.5000 0.5684 (multiplicity 2)
Hg 0.2565 0.2420 0.0786 (multiplicity 4)
Hg 0.2590 0.0000 0.7028 (multiplicity 2)

***

(8)
This entry pairs a crystal structure of Cd3Ag6Hg with its simulated X-ray powder pattern. Radiation: copper Kα. Structure: a crystal structure in Alexandria, relaxed with GGA-PBE.
Lines closer than 0.1° are merged.

Peak list (8 most intense, 2θ = 5–70°, in order of falling intensity)
36.49°, d = 2.462 Å, intensity 100, hkl 2 0 -2
36.68°, d = 2.450 Å, intensity 49, hkl 1 1 2
36.73°, d = 2.447 Å, intensity 49, hkl 0 2 -4
61.62°, d = 1.505 Å, intensity 41, hkl -3 3 2
42.19°, d = 2.142 Å, intensity 33, hkl 1 3 -2
42.58°, d = 2.123 Å, intensity 32, hkl -1 1 4
42.76°, d = 2.115 Å, intensity 32, hkl 2 -2 2
61.42°, d = 1.510 Å, intensity 10, hkl 0 4 2

Crystal structure
a = 5.2069 Å, b = 7.9949 Å, c = 10.3733 Å
α = 109.05°, β = 100.10°, γ = 102.23°
Space group P-1 (No. 2)
Unique sites:
Cd 0.0493 0.3510 0.3017 (multiplicity 2)
Cd 0.2577 0.7583 0.5003 (multiplicity 2)
Cd 0.3551 0.4569 0.1044 (multiplicity 2)
Ag 0.0487 0.3500 0.7980 (multiplicity 2)
Ag 0.1497 0.0499 0.4018 (multiplicity 2)
Ag 0.2464 0.7467 0.9997 (multiplicity 2)
Ag 0.3482 0.4486 0.5989 (multiplicity 2)
Ag 0.4509 0.1516 0.2029 (multiplicity 2)
Ag 0.4528 0.1505 0.6990 (multiplicity 2)
Hg 0.1561 0.0530 0.8973 (multiplicity 2)

***

(9)
This entry pairs a crystal structure of Cd4Ag3Hg with its simulated X-ray powder pattern. Radiation: copper Kα. Structure: a crystal structure in Alexandria, relaxed with GGA-PBE.
Lines closer than 0.1° are merged.

Peak list (8 most intense, 2θ = 5–70°, in order of falling intensity)
37.34°, d = 2.408 Å, intensity 100, hkl 2 2 1
37.05°, d = 2.426 Å, intensity 45, hkl 4 0 0
66.95°, d = 1.398 Å, intensity 17, hkl 6 2 1
33.61°, d = 2.667 Å, intensity 14, hkl 1 2 1
35.88°, d = 2.503 Å, intensity 14, hkl 0 0 2
40.56°, d = 2.224 Å, intensity 12, hkl 2 0 2
68.29°, d = 1.373 Å, intensity 10, hkl 4 4 0
55.14°, d = 1.666 Å, intensity 10, hkl 0 4 0

Crystal structure
a = 9.7090 Å, b = 6.6629 Å, c = 5.0057 Å
α = 90.00°, β = 90.00°, γ = 90.00°
Space group Pmma (No. 51)
Unique sites:
Cd 0.0000 0.2409 0.0000 (multiplicity 4)
Cd 0.2500 0.2405 0.3895 (multiplicity 4)
Ag 0.0000 0.0000 0.5000 (multiplicity 2)
Ag 0.2500 0.0000 0.8828 (multiplicity 2)
Ag 0.2500 0.5000 0.8926 (multiplicity 2)
Hg 0.0000 0.5000 0.5000 (multiplicity 2)

***

(10)
This entry pairs a crystal structure of Cd12AgHg7 with its simulated X-ray powder pattern. Radiation: copper Kα. Structure: a crystal structure in Alexandria, relaxed with GGA-PBE.
Lines closer than 0.1° are merged.

Peak list (8 most intense, 2θ = 5–70°, in order of falling intensity)
36.71°, d = 2.448 Å, intensity 100, hkl 4 0 1
35.52°, d = 2.528 Å, intensity 96, hkl 3 1 2
30.35°, d = 2.946 Å, intensity 95, hkl 1 0 4
34.67°, d = 2.588 Å, intensity 82, hkl 0 3 3
33.13°, d = 2.704 Å, intensity 46, hkl 1 3 1
38.90°, d = 2.315 Å, intensity 39, hkl 0 4 2
64.25°, d = 1.450 Å, intensity 35, hkl 4 3 4
52.31°, d = 1.749 Å, intensity 32, hkl 3 0 6

Crystal structure
a = 11.5379 Å, b = 11.5379 Å, c = 12.3300 Å
α = 90.00°, β = 90.00°, γ = 120.00°
Space group R-3m (No. 166, hexagonal axes)
Unique sites:
Cd 0.0000 0.2610 0.0000 (multiplicity 18)
Cd 0.0329 0.5164 0.1229 (multiplicity 18)
Ag 0.0000 0.0000 0.0000 (multiplicity 3)
Hg 0.0000 0.0000 0.5000 (multiplicity 3)
Hg 0.0876 0.1753 0.7679 (multiplicity 18)

***

(11)
This entry pairs a crystal structure of Cd4AgHg6 with its simulated X-ray powder pattern. Radiation: copper Kα. Structure: a crystal structure in Alexandria, relaxed with GGA-PBE.
Lines closer than 0.1° are merged.

Peak list (8 most intense, 2θ = 5–70°, in order of falling intensity)
33.03°, d = 2.712 Å, intensity 100, hkl 2 2 -2
31.34°, d = 2.854 Å, intensity 86, hkl 0 0 3
36.90°, d = 2.436 Å, intensity 69, hkl 2 2 1
32.33°, d = 2.769 Å, intensity 64, hkl 2 2 0
35.25°, d = 2.546 Å, intensity 49, hkl 3 1 -2
30.28°, d = 2.952 Å, intensity 47, hkl 0 2 2
30.92°, d = 2.892 Å, intensity 42, hkl 2 0 -3
38.15°, d = 2.359 Å, intensity 38, hkl 2 2 -3

Crystal structure
a = 8.2187 Å, b = 8.1512 Å, c = 9.3241 Å
α = 90.00°, β = 113.31°, γ = 90.00°
Space group Cm (No. 8)
Unique sites:
Cd 0.0000 0.0000 0.0000 (multiplicity 2)
Cd 0.0436 0.2030 0.5510 (multiplicity 4)
Cd 0.0778 0.5000 0.9996 (multiplicity 2)
Ag 0.4129 0.5000 0.2715 (multiplicity 2)
Hg 0.1662 0.2503 0.2770 (multiplicity 4)
Hg 0.2473 0.2069 0.9107 (multiplicity 4)
Hg 0.2906 0.5000 0.6472 (multiplicity 2)
Hg 0.3815 0.0000 0.6329 (multiplicity 2)

***

(12)
This entry pairs a crystal structure of Cd8AgHg6 with its simulated X-ray powder pattern. Radiation: copper Kα. Structure: a crystal structure in Alexandria, relaxed with GGA-PBE.
Lines closer than 0.1° are merged.

Peak list (8 most intense, 2θ = 5–70°, in order of falling intensity)
31.19°, d = 2.868 Å, intensity 100, hkl -1 1 2
32.71°, d = 2.738 Å, intensity 89, hkl 2 2 1
36.64°, d = 2.453 Å, intensity 66, hkl 2 -1 1
37.97°, d = 2.370 Å, intensity 60, hkl 1 2 -2
38.38°, d = 2.345 Å, intensity 58, hkl 1 0 3
38.68°, d = 2.328 Å, intensity 57, hkl 0 3 0
43.68°, d = 2.072 Å, intensity 39, hkl 3 1 -1
59.53°, d = 1.553 Å, intensity 30, hkl 4 1 2

Crystal structure
a = 6.6476 Å, b = 7.3871 Å, c = 7.5749 Å
α = 80.61°, β = 85.40°, γ = 72.86°
Space group P-1 (No. 2)
Unique sites:
Cd 0.0072 0.1709 0.1669 (multiplicity 2)
Cd 0.3780 0.4974 0.6988 (multiplicity 2)
Cd 0.3860 0.1792 0.3833 (multiplicity 2)
Cd 0.4113 0.8266 0.0218 (multiplicity 2)
Ag 0.0000 0.5000 0.5000 (multiplicity 1)
Hg 0.1999 0.1603 0.7667 (multiplicity 2)
Hg 0.2057 0.5078 0.1099 (multiplicity 2)
Hg 0.2084 0.8292 0.4258 (multiplicity 2)